# PmSb2F8
Computed powder XRD pattern, a wavelength of 1.5418 Å. Input: a crystal structure in Alexandria, relaxed with PBE.
Intensities are scaled so that the largest is 1000.

Cell and atoms:
```
data_PmSb2F8
_cell_length_a 5.0092
_cell_length_b 5.9298
_cell_length_c 7.2620
_cell_angle_alpha 113.85
_cell_angle_beta 96.15
_cell_angle_gamma 90.36
_space_group_name_H-M_alt 'P 1'
_space_group_IT_number 1
loop_
_space_group_symop_operation_xyz
'x,y,z'
loop_
_atom_site_label
_atom_site_type_symbol
_atom_site_fract_x
_atom_site_fract_y
_atom_site_fract_z
Pm1 Pm 0.0000 0.0000 0.0000
Sb1 Sb 0.3386 0.7193 0.4394
Sb2 Sb 0.6614 0.2807 0.5606
F1 F 0.0541 0.2800 0.5566
F2 F 0.2295 0.8160 0.1853
F3 F 0.2309 0.3695 0.1847
F4 F 0.2968 0.8842 0.7676
F5 F 0.7032 0.1158 0.2324
F6 F 0.7691 0.6305 0.8153
F7 F 0.7705 0.1840 0.8147
F8 F 0.9459 0.7200 0.4434
```

Peak list (12 most intense, 2θ = 15–90°, by angle)
d_spacing	intensity
5.408	242
4.221	614
3.574	1000
3.531	527
3.297	189
2.965	337
2.328	148
2.308	170
2.297	169
2.081	181
1.798	131
1.793	148

***

# BaLiCo4
Computed powder XRD pattern, a wavelength of 1.5418 Å. Input: a crystal structure in Alexandria, relaxed with PBE.
Intensities are scaled so that the largest is 1000.

Cell and atoms:
```
data_BaLiCo4
_cell_length_a 5.1360
_cell_length_b 5.1360
_cell_length_c 5.1360
_cell_angle_alpha 60.00
_cell_angle_beta 60.00
_cell_angle_gamma 60.00
_space_group_name_H-M_alt 'P 1'
_space_group_IT_number 1
loop_
_space_group_symop_operation_xyz
'x,y,z'
loop_
_atom_site_label
_atom_site_type_symbol
_atom_site_fract_x
_atom_site_fract_y
_atom_site_fract_z
Ba1 Ba 0.0000 0.0000 0.0000
Li1 Li 0.2500 0.2500 0.2500
Co1 Co 0.1296 0.6235 0.6235
Co2 Co 0.6235 0.1296 0.6235
Co3 Co 0.6235 0.6235 0.1296
Co4 Co 0.6235 0.6235 0.6235
```

Peak list (12 most intense, 2θ = 15–90°, by angle)
d_spacing	intensity
4.194	276
3.632	305
2.568	264
2.190	1000
2.097	399
1.666	72
1.624	103
1.483	96
1.398	305
1.284	214
1.108	107
1.095	133

***

# Be3NiMo
Computed powder XRD pattern, a wavelength of 1.5418 Å. Input: a crystal structure in Alexandria, relaxed with PBE.
Intensities are scaled so that the largest is 1000.

Cell and atoms:
```
data_Be3NiMo
_cell_length_a 3.8197
_cell_length_b 3.8197
_cell_length_c 3.8197
_cell_angle_alpha 90.00
_cell_angle_beta 90.00
_cell_angle_gamma 90.00
_space_group_name_H-M_alt 'P 1'
_space_group_IT_number 1
loop_
_space_group_symop_operation_xyz
'x,y,z'
loop_
_atom_site_label
_atom_site_type_symbol
_atom_site_fract_x
_atom_site_fract_y
_atom_site_fract_z
Be1 Be 0.0000 0.0000 0.5000
Be2 Be 0.0000 0.5000 0.0000
Be3 Be 0.5000 0.0000 0.0000
Ni1 Ni 0.0000 0.0000 0.0000
Mo1 Mo 0.5000 0.5000 0.5000
```

Peak list (11 most intense, 2θ = 15–90°, by angle)
d_spacing	intensity
3.820	33
2.701	1000
2.205	38
1.910	231
1.708	15
1.559	352
1.350	142
1.273	8
1.208	147
1.152	17
1.103	51

***

# RbCuOsBr6
Computed powder XRD pattern, a wavelength of 1.5418 Å. Input: a crystal structure in Alexandria, relaxed with PBE.
Intensities are scaled so that the largest is 1000.

Cell and atoms:
```
data_RbCuOsBr6
_cell_length_a 6.7518
_cell_length_b 6.7518
_cell_length_c 7.7741
_cell_angle_alpha 90.00
_cell_angle_beta 90.00
_cell_angle_gamma 120.00
_space_group_name_H-M_alt 'P 1'
_space_group_IT_number 1
loop_
_space_group_symop_operation_xyz
'x,y,z'
loop_
_atom_site_label
_atom_site_type_symbol
_atom_site_fract_x
_atom_site_fract_y
_atom_site_fract_z
Rb1 Rb 0.0000 0.0000 0.0000
Cu1 Cu 0.3333 0.6667 0.5000
Os1 Os 0.6667 0.3333 0.5000
Br1 Br 0.3723 0.0157 0.6824
Br2 Br 0.3723 0.3566 0.3176
Br3 Br 0.6434 0.0157 0.3176
Br4 Br 0.6434 0.6277 0.6824
Br5 Br 0.9843 0.3566 0.6824
Br6 Br 0.9843 0.6277 0.3176
```

Peak list (12 most intense, 2θ = 15–90°, by angle)
d_spacing	intensity
5.847	284
4.673	941
3.097	718
2.549	1000
2.126	241
2.056	264
1.949	388
1.939	163
1.683	361
1.588	148
1.548	183
1.212	145

***

# Na8SnTe6
Computed powder XRD pattern, a wavelength of 1.5418 Å. Input: a crystal structure in Alexandria, relaxed with PBE.
Intensities are scaled so that the largest is 1000.

Cell and atoms:
```
data_Na8SnTe6
_cell_length_a 8.8844
_cell_length_b 9.2651
_cell_length_c 12.8305
_cell_angle_alpha 90.00
_cell_angle_beta 90.00
_cell_angle_gamma 90.00
_space_group_name_H-M_alt 'P 1'
_space_group_IT_number 1
loop_
_space_group_symop_operation_xyz
'x,y,z'
loop_
_atom_site_label
_atom_site_type_symbol
_atom_site_fract_x
_atom_site_fract_y
_atom_site_fract_z
Na1 Na 0.0000 0.1196 0.0000
Na2 Na 0.0000 0.2458 0.4425
Na3 Na 0.1805 0.6294 0.1120
Na4 Na 0.1974 0.5723 0.8073
Na5 Na 0.2332 0.9275 0.7613
Na6 Na 0.2668 0.0725 0.2613
Na7 Na 0.3026 0.4277 0.3073
Na8 Na 0.3195 0.3706 0.6120
Na9 Na 0.5000 0.7542 0.9425
Na10 Na 0.5000 0.8804 0.5000
Na11 Na 0.6805 0.3706 0.6120
Na12 Na 0.6974 0.4277 0.3073
Na13 Na 0.7332 0.0725 0.2613
Na14 Na 0.7668 0.9275 0.7613
Na15 Na 0.8026 0.5723 0.8073
Na16 Na 0.8195 0.6294 0.1120
Sn1 Sn 0.0000 0.7514 0.4617
Sn2 Sn 0.5000 0.2486 0.9617
Te1 Te 0.0000 0.3016 0.2103
Te2 Te 0.0000 0.5074 0.5931
Te3 Te 0.0000 0.7801 0.9370
Te4 Te 0.0000 0.9928 0.5881
Te5 Te 0.2430 0.2465 0.8380
Te6 Te 0.2570 0.7535 0.3380
Te7 Te 0.5000 0.0072 0.0881
Te8 Te 0.5000 0.2199 0.4370
Te9 Te 0.5000 0.4926 0.0931
Te10 Te 0.5000 0.6984 0.7103
Te11 Te 0.7430 0.7535 0.3380
Te12 Te 0.7570 0.2465 0.8380
```

Peak list (12 most intense, 2θ = 15–90°, by angle)
d_spacing	intensity
4.535	855
3.912	588
3.854	362
3.824	713
3.756	810
3.652	795
2.582	260
2.488	308
2.268	1000
2.221	322
2.179	248
1.912	275